(1)
KNbPS6: simulated X-ray diffraction stick pattern (a wavelength of 1.5418 Å), based on a PBE-relaxed structure.

Main lines, by angle (2θ = 10–90°):
d (Å)	2theta	Rel. int.
7.267	12.18	100
5.325	16.65	19
4.295	20.68	93
2.831	31.60	44
2.347	38.35	72
1.940	46.84	24
1.903	47.81	18
1.775	51.49	22

Atomic structure:
Unit cell a=6.1485 b=6.1485 c=7.2667 alpha=90.00 beta=90.00 gamma=120.00
Element x y z (fractional)
K (0.0000, 0.0000, 0.0000)
Nb (0.6667, 0.3333, 0.5000)
P (0.3333, 0.6667, 0.5000)
S (0.0254, 0.3890, 0.3176)
S (0.0254, 0.6364, 0.6824)
S (0.3636, 0.3890, 0.6824)
S (0.3636, 0.9746, 0.3176)
S (0.6110, 0.6364, 0.3176)
S (0.6110, 0.9746, 0.6824)

(2)
K2PaNbS6: simulated X-ray diffraction stick pattern (a wavelength of 1.5418 Å), based on a PBE-relaxed structure.

Main lines, by angle (2θ = 10–90°):
d (Å)	2theta	Rel. int.
5.302	16.72	50
5.014	17.69	95
3.643	24.44	100
3.545	25.12	50
2.651	33.81	32
2.507	35.82	62
2.065	43.84	42
1.821	50.08	39

Atomic structure:
Unit cell a=7.0910 b=7.0910 c=5.3016 alpha=90.00 beta=90.00 gamma=90.00
Element x y z (fractional)
K (0.0000, 0.5000, 0.0000)
K (0.5000, 0.0000, 0.0000)
Pa (0.0000, 0.0000, 0.5071)
Nb (0.5000, 0.5000, 0.4221)
S (0.0000, 0.0000, 0.0111)
S (0.2605, 0.2605, 0.5138)
S (0.2605, 0.7395, 0.5138)
S (0.5000, 0.5000, 0.0048)
S (0.7395, 0.2605, 0.5138)
S (0.7395, 0.7395, 0.5138)

(3)
KNbRhSe3: simulated X-ray diffraction stick pattern (a wavelength of 1.5418 Å), based on a PBE-relaxed structure.

Main lines, by angle (2θ = 10–90°):
d (Å)	2theta	Rel. int.
7.604	11.64	100
2.791	32.06	35
2.689	33.33	20
2.528	35.51	11
2.473	36.33	16
2.410	37.31	10
2.036	44.50	21
1.851	49.22	13

Atomic structure:
Unit cell a=8.5055 b=3.7023 c=9.9631 alpha=90.00 beta=113.13 gamma=90.00
Element x y z (fractional)
K (0.2487, 0.2500, 0.2258)
K (0.7513, 0.7500, 0.7742)
Nb (0.2096, 0.7500, 0.6671)
Nb (0.7904, 0.2500, 0.3329)
Rh (0.4156, 0.2500, 0.8777)
Rh (0.5844, 0.7500, 0.1223)
Se (0.0386, 0.7500, 0.3700)
Se (0.2619, 0.7500, 0.9401)
Se (0.4011, 0.2500, 0.6228)
Se (0.5989, 0.7500, 0.3772)
Se (0.7381, 0.2500, 0.0599)
Se (0.9614, 0.2500, 0.6300)

(4)
K2Nb3S6: simulated X-ray diffraction stick pattern (a wavelength of 1.5418 Å), based on a PBE-relaxed structure.

Main lines, by angle (2θ = 10–90°):
d (Å)	2theta	Rel. int.
7.930	11.16	100
3.965	22.42	12
2.969	30.10	23
2.780	32.20	39
2.376	37.86	69
1.974	45.97	30
1.714	53.46	22
1.390	67.36	12

Atomic structure:
Unit cell a=15.8596 b=5.9374 c=5.9374 alpha=120.00 beta=90.00 gamma=90.00
Element x y z (fractional)
K (0.0000, 0.1668, 0.8332)
K (0.0000, 0.8332, 0.1668)
K (0.5000, 0.1667, 0.4998)
K (0.5000, 0.4998, 0.1667)
Nb (0.2510, 0.1673, 0.8331)
Nb (0.2512, 0.4989, 0.4989)
Nb (0.2510, 0.8331, 0.1673)
Nb (0.7490, 0.1673, 0.8331)
Nb (0.7488, 0.4989, 0.4989)
Nb (0.7490, 0.8331, 0.1673)
S (0.1537, 0.1677, 0.1677)
S (0.1537, 0.5002, 0.8314)
S (0.1537, 0.8314, 0.5002)
S (0.3482, 0.1639, 0.1639)
S (0.3482, 0.5021, 0.8333)
S (0.3482, 0.8333, 0.5021)
S (0.6518, 0.1639, 0.1639)
S (0.6518, 0.5021, 0.8333)
S (0.6518, 0.8333, 0.5021)
S (0.8463, 0.1677, 0.1677)
S (0.8463, 0.5002, 0.8314)
S (0.8463, 0.8314, 0.5002)

(5)
K3Tm3NbS8: simulated X-ray diffraction stick pattern (a wavelength of 1.5418 Å), based on a PBE-relaxed structure.

Main lines, by angle (2θ = 10–90°):
d (Å)	2theta	Rel. int.
7.512	11.78	100
3.326	26.80	27
3.223	27.68	27
2.888	30.97	88
2.326	38.72	23
2.160	41.83	31
1.942	46.78	28
1.880	48.43	23

Atomic structure:
Unit cell a=8.7489 b=8.7489 c=8.7489 alpha=52.71 beta=52.71 gamma=52.71
Element x y z (fractional)
K (0.0000, 0.5000, 0.5000)
K (0.5000, 0.0000, 0.5000)
K (0.5000, 0.5000, 0.0000)
Tm (0.0000, 0.0000, 0.5000)
Tm (0.0000, 0.5000, 0.0000)
Tm (0.5000, 0.0000, 0.0000)
Nb (0.5000, 0.5000, 0.5000)
S (0.2333, 0.2333, 0.2333)
S (0.2485, 0.7210, 0.7210)
S (0.2790, 0.2790, 0.7515)
S (0.2790, 0.7515, 0.2790)
S (0.7210, 0.2485, 0.7210)
S (0.7210, 0.7210, 0.2485)
S (0.7515, 0.2790, 0.2790)
S (0.7667, 0.7667, 0.7667)

(6)
K2UNbS6: simulated X-ray diffraction stick pattern (a wavelength of 1.5418 Å), based on a PBE-relaxed structure.

Main lines, by angle (2θ = 10–90°):
d (Å)	2theta	Rel. int.
5.231	16.95	50
4.982	17.80	96
3.608	24.68	100
3.523	25.28	50
2.616	34.28	31
2.491	36.06	63
2.050	44.18	43
1.804	50.60	39

Atomic structure:
Unit cell a=7.0453 b=7.0453 c=5.2313 alpha=90.00 beta=90.00 gamma=90.00
Element x y z (fractional)
K (0.0000, 0.5000, 0.0000)
K (0.5000, 0.0000, 0.0000)
U (0.0000, 0.0000, 0.5026)
Nb (0.5000, 0.5000, 0.4212)
S (0.0000, 0.0000, 0.0087)
S (0.2578, 0.2578, 0.5103)
S (0.2578, 0.7422, 0.5103)
S (0.5000, 0.5000, 0.9968)
S (0.7422, 0.2578, 0.5103)
S (0.7422, 0.7422, 0.5103)

(7)
KNb3Se: simulated X-ray diffraction stick pattern (a wavelength of 1.5418 Å), based on a PBE-relaxed structure.

Main lines, by angle (2θ = 10–90°):
d (Å)	2theta	Rel. int.
4.940	17.96	65
2.852	31.36	75
2.470	36.37	100
2.209	40.85	32
1.747	52.39	68
1.489	62.34	29
1.426	65.45	23
1.105	88.52	30

Atomic structure:
Unit cell a=4.9400 b=4.9400 c=4.9400 alpha=90.00 beta=90.00 gamma=90.00
Element x y z (fractional)
K (0.0000, 0.0000, 0.0000)
Nb (0.0000, 0.5000, 0.5000)
Nb (0.5000, 0.0000, 0.5000)
Nb (0.5000, 0.5000, 0.0000)
Se (0.5000, 0.5000, 0.5000)

(8)
KNb5Se8: simulated X-ray diffraction stick pattern (a wavelength of 1.5418 Å), based on a PBE-relaxed structure.

Main lines, by angle (2θ = 10–90°):
d (Å)	2theta	Rel. int.
7.449	11.88	62
2.885	31.00	41
2.782	32.17	100
2.687	33.34	38
2.399	37.49	52
2.298	39.21	91
2.291	39.33	43
1.798	50.78	47

Atomic structure:
Unit cell a=9.5918 b=9.5918 c=9.4484 alpha=103.96 beta=103.96 gamma=21.03
Element x y z (fractional)
K (0.0000, 0.0000, 0.0000)
Nb (0.1396, 0.1396, 0.5016)
Nb (0.2124, 0.2124, 0.8683)
Nb (0.4999, 0.4999, 0.4995)
Nb (0.7875, 0.7875, 0.1306)
Nb (0.8603, 0.8603, 0.4975)
Se (0.0699, 0.0699, 0.6972)
Se (0.2591, 0.2591, 0.3401)
Se (0.3485, 0.3485, 0.9940)
Se (0.4156, 0.4156, 0.6908)
Se (0.5844, 0.5844, 0.3083)
Se (0.6515, 0.6515, 0.0049)
Se (0.7408, 0.7408, 0.6589)
Se (0.9299, 0.9299, 0.3019)

What is the formula in the third record?
KNbRhSe3

Copy entry 3 word for word.
KNbRhSe3: simulated X-ray diffraction stick pattern (a wavelength of 1.5418 Å), based on a PBE-relaxed structure.

Main lines, by angle (2θ = 10–90°):
d (Å)	2theta	Rel. int.
7.604	11.64	100
2.791	32.06	35
2.689	33.33	20
2.528	35.51	11
2.473	36.33	16
2.410	37.31	10
2.036	44.50	21
1.851	49.22	13

Atomic structure:
Unit cell a=8.5055 b=3.7023 c=9.9631 alpha=90.00 beta=113.13 gamma=90.00
Element x y z (fractional)
K (0.2487, 0.2500, 0.2258)
K (0.7513, 0.7500, 0.7742)
Nb (0.2096, 0.7500, 0.6671)
Nb (0.7904, 0.2500, 0.3329)
Rh (0.4156, 0.2500, 0.8777)
Rh (0.5844, 0.7500, 0.1223)
Se (0.0386, 0.7500, 0.3700)
Se (0.2619, 0.7500, 0.9401)
Se (0.4011, 0.2500, 0.6228)
Se (0.5989, 0.7500, 0.3772)
Se (0.7381, 0.2500, 0.0599)
Se (0.9614, 0.2500, 0.6300)